1.
Structure and theoretical powder diffractogram of Pa6Ni6Au (a GGA-PBE-relaxed structure; Cu Kα (λ = 1.5418 Å)).

Lattice parameters (Å, degrees): 7.267 7.267 7.267 137.47 100.67 94.46
Positions (direct):
Pa: 0.166 0.500 0.666
Pa: 0.179 0.179 0.000
Pa: 0.324 0.000 0.324
Pa: 0.676 0.000 0.676
Pa: 0.821 0.821 0.000
Pa: 0.834 0.500 0.334
Ni: 0.000 0.000 0.500
Ni: 0.000 0.500 0.000
Ni: 0.254 0.754 0.500
Ni: 0.500 0.000 0.000
Ni: 0.500 0.500 0.500
Ni: 0.746 0.246 0.500
Au: 0.500 0.500 0.000

Top 8 peaks for 15° ≤ 2θ ≤ 90°, low angle first:
| Position (°2θ) | I/Imax |
| --- | --- |
| 33.6 | 100 |
| 34.0 | 49 |
| 36.4 | 40 |
| 37.6 | 36 |
| 38.4 | 62 |
| 38.8 | 39 |
| 43.5 | 47 |
| 66.8 | 37 |



2.
Structure and theoretical powder diffractogram of B2C (a GGA-PBE-relaxed structure; Cu Kα (λ = 1.5418 Å)).

Lattice parameters (Å, degrees): 2.689 8.880 4.637 90.00 90.00 90.00
Positions (direct):
B: 0.000 0.009 0.000
B: 0.000 0.445 0.539
B: 0.000 0.447 0.943
B: 0.000 0.785 0.270
B: 0.500 0.215 0.770
B: 0.500 0.553 0.443
B: 0.500 0.555 0.039
B: 0.500 0.991 0.500
C: 0.000 0.305 0.742
C: 0.000 0.960 0.337
C: 0.500 0.040 0.837
C: 0.500 0.695 0.242

Top 8 peaks for 15° ≤ 2θ ≤ 90°, low angle first:
| Position (°2θ) | I/Imax |
| --- | --- |
| 20.0 | 29 |
| 21.6 | 100 |
| 30.2 | 5 |
| 39.2 | 17 |
| 40.1 | 18 |
| 40.6 | 7 |
| 44.1 | 17 |
| 70.0 | 5 |



Please write out number 1 again, unchanged.
Structure and theoretical powder diffractogram of Pa6Ni6Au (a GGA-PBE-relaxed structure; Cu Kα (λ = 1.5418 Å)).

Lattice parameters (Å, degrees): 7.267 7.267 7.267 137.47 100.67 94.46
Positions (direct):
Pa: 0.166 0.500 0.666
Pa: 0.179 0.179 0.000
Pa: 0.324 0.000 0.324
Pa: 0.676 0.000 0.676
Pa: 0.821 0.821 0.000
Pa: 0.834 0.500 0.334
Ni: 0.000 0.000 0.500
Ni: 0.000 0.500 0.000
Ni: 0.254 0.754 0.500
Ni: 0.500 0.000 0.000
Ni: 0.500 0.500 0.500
Ni: 0.746 0.246 0.500
Au: 0.500 0.500 0.000

Top 8 peaks for 15° ≤ 2θ ≤ 90°, low angle first:
| Position (°2θ) | I/Imax |
| --- | --- |
| 33.6 | 100 |
| 34.0 | 49 |
| 36.4 | 40 |
| 37.6 | 36 |
| 38.4 | 62 |
| 38.8 | 39 |
| 43.5 | 47 |
| 66.8 | 37 |